[1]
Diffraction record for MgMn6O7F5. The powder diffractogram is computed, not measured: it uses a DFT-relaxed cell (PBE+U, the Materials Project) and Cu Ka.
Peak positions follow from Bragg's law for the DFT cell and can differ from measured ones.

Peak list (10 most intense, 10 to 80 degrees two-theta, in order of falling intensity)
2θ = 27.14°, intensity 100
2θ = 24.69°, intensity 77
2θ = 33.75°, intensity 52
2θ = 33.34°, intensity 41
2θ = 34.48°, intensity 41
2θ = 39.10°, intensity 39
2θ = 58.48°, intensity 35
2θ = 33.87°, intensity 35
2θ = 18.84°, intensity 26
2θ = 18.95°, intensity 21

```
data_MgMn6O7F5
_chemical_formula_sum 'Mg1 Mn6 O7 F5'
_space_group_name_H-M_alt 'P 1'
_space_group_IT_number 1
_cell_length_a 5.638
_cell_length_b 5.978
_cell_length_c 7.898
_cell_angle_alpha 68.43
_cell_angle_beta 70.57
_cell_angle_gamma 69.02
loop_
_space_group_symop_operation_xyz
'x,y,z'
loop_
_atom_site_label
_atom_site_type_symbol
_atom_site_fract_x
_atom_site_fract_y
_atom_site_fract_z
Mg1 Mg 0.000 0.000 0.000
Mn1 Mn 0.259 0.826 0.651
Mn2 Mn 0.431 0.833 0.261
Mn3 Mn 0.594 0.186 0.820
Mn4 Mn 0.624 0.212 0.357
Mn5 Mn 0.916 0.542 0.498
Mn6 Mn 0.968 0.526 0.996
O1 O 0.156 0.740 0.472
O2 O 0.314 0.481 0.842
O3 O 0.599 0.075 0.094
O4 O 0.602 0.834 0.476
O5 O 0.630 0.553 0.165
O6 O 0.703 0.318 0.549
O7 O 0.917 0.876 0.823
F1 F 0.050 0.156 0.159
F2 F 0.059 0.665 0.181
F3 F 0.220 0.241 0.478
F4 F 0.353 0.962 0.830
F5 F 0.893 0.360 0.821
```

***

[2]
Diffraction record for Li4TiCr5O12. The powder diffractogram is computed, not measured: it uses a DFT-relaxed cell (PBE+U, the Materials Project) and Cu Ka.
Peak positions follow from Bragg's law for the DFT cell and can differ from measured ones.

Peak list (10 most intense, 10 to 80 degrees two-theta, in order of falling intensity)
2θ = 17.52°, intensity 100
2θ = 44.31°, intensity 36
2θ = 36.07°, intensity 29
2θ = 39.33°, intensity 25
2θ = 57.98°, intensity 17
2θ = 63.38°, intensity 16
2θ = 50.63°, intensity 15
2θ = 34.93°, intensity 7
2θ = 76.51°, intensity 6
2θ = 66.26°, intensity 5

```
data_Li4TiCr5O12
_chemical_formula_sum 'Li4 Ti1 Cr5 O12'
_space_group_name_H-M_alt 'P 1'
_space_group_IT_number 1
_cell_length_a 5.139
_cell_length_b 5.139
_cell_length_c 10.126
_cell_angle_alpha 90.02
_cell_angle_beta 90.02
_cell_angle_gamma 120.02
loop_
_space_group_symop_operation_xyz
'x,y,z'
loop_
_atom_site_label
_atom_site_type_symbol
_atom_site_fract_x
_atom_site_fract_y
_atom_site_fract_z
Li1 Li 0.152 0.653 0.751
Li2 Li 0.347 0.848 0.249
Li3 Li 0.653 0.152 0.751
Li4 Li 0.848 0.347 0.249
Ti1 Ti 0.500 0.500 0.500
Cr1 Cr 0.000 0.000 0.000
Cr2 Cr 0.164 0.836 0.500
Cr3 Cr 0.335 0.665 0.000
Cr4 Cr 0.665 0.335 0.000
Cr5 Cr 0.836 0.164 0.500
O1 O 0.008 0.664 0.106
O2 O 0.168 0.505 0.393
O3 O 0.176 0.176 0.600
O4 O 0.331 0.331 0.094
O5 O 0.336 0.992 0.894
O6 O 0.495 0.832 0.607
O7 O 0.505 0.168 0.393
O8 O 0.664 0.008 0.106
O9 O 0.669 0.669 0.906
O10 O 0.824 0.824 0.400
O11 O 0.832 0.495 0.607
O12 O 0.992 0.336 0.894
```

***

[3]
Diffraction record for KCaNi2H3Se2O10. The powder diffractogram is computed, not measured: it uses a DFT-relaxed cell (PBE+U, the Materials Project) and Cu Ka.
Peak positions follow from Bragg's law for the DFT cell and can differ from measured ones.

Peak list (10 most intense, 10 to 80 degrees two-theta, in order of falling intensity)
2θ = 20.98°, intensity 100
2θ = 28.87°, intensity 67
2θ = 13.02°, intensity 53
2θ = 30.38°, intensity 51
2θ = 26.14°, intensity 50
2θ = 28.09°, intensity 45
2θ = 32.27°, intensity 40
2θ = 26.88°, intensity 40
2θ = 23.84°, intensity 36
2θ = 31.28°, intensity 36

```
data_KCaNi2H3Se2O10
_chemical_formula_sum 'K1 Ca1 Ni2 H3 Se2 O10'
_space_group_name_H-M_alt 'P 1'
_space_group_IT_number 1
_cell_length_a 6.267
_cell_length_b 6.895
_cell_length_c 7.460
_cell_angle_alpha 105.46
_cell_angle_beta 99.45
_cell_angle_gamma 116.04
loop_
_space_group_symop_operation_xyz
'x,y,z'
loop_
_atom_site_label
_atom_site_type_symbol
_atom_site_fract_x
_atom_site_fract_y
_atom_site_fract_z
K1 K 0.000 0.000 0.000
Ca1 Ca 0.070 0.622 0.630
Ni1 Ni 0.002 0.001 0.508
Ni2 Ni 0.524 0.463 0.457
H1 H 0.308 0.393 0.685
H2 H 0.723 0.203 0.298
H3 H 0.747 0.348 0.166
Se1 Se 0.408 0.734 0.169
Se2 Se 0.616 0.142 0.717
O1 O 0.208 0.341 0.547
O2 O 0.256 0.863 0.258
O3 O 0.301 0.031 0.709
O4 O 0.334 0.656 0.926
O5 O 0.345 0.497 0.223
O6 O 0.692 0.403 0.683
O7 O 0.723 0.937 0.266
O8 O 0.743 0.357 0.304
O9 O 0.774 0.241 0.957
O10 O 0.814 0.774 0.593
```

***

[4]
Diffraction record for SrV6O11. The powder diffractogram is computed, not measured: it uses a DFT-relaxed cell (PBE+U, the Materials Project) and Cu Ka.
Peak positions follow from Bragg's law for the DFT cell and can differ from measured ones.

Peak list (10 most intense, 10 to 80 degrees two-theta, in order of falling intensity)
2θ = 32.20°, intensity 100
2θ = 31.78°, intensity 67
2θ = 53.93°, intensity 55
2θ = 29.18°, intensity 46
2θ = 36.49°, intensity 46
2θ = 53.39°, intensity 43
2θ = 60.49°, intensity 40
2θ = 26.82°, intensity 23
2θ = 53.67°, intensity 19
2θ = 69.96°, intensity 15

```
data_SrV6O11
_chemical_formula_sum 'Sr2 V12 O22'
_space_group_name_H-M_alt 'P 1'
_space_group_IT_number 1
_cell_length_a 6.122
_cell_length_b 6.122
_cell_length_c 13.295
_cell_angle_alpha 90.00
_cell_angle_beta 90.00
_cell_angle_gamma 120.00
loop_
_space_group_symop_operation_xyz
'x,y,z'
loop_
_atom_site_label
_atom_site_type_symbol
_atom_site_fract_x
_atom_site_fract_y
_atom_site_fract_z
Sr1 Sr 0.333 0.667 0.250
Sr2 Sr 0.667 0.333 0.750
V1 V 0.000 0.000 0.145
V2 V 0.000 0.000 0.355
V3 V 0.000 0.000 0.645
V4 V 0.000 0.000 0.855
V5 V 0.000 0.500 0.000
V6 V 0.000 0.500 0.500
V7 V 0.333 0.667 0.750
V8 V 0.500 0.000 0.000
V9 V 0.500 0.000 0.500
V10 V 0.500 0.500 0.000
V11 V 0.500 0.500 0.500
V12 V 0.667 0.333 0.250
O1 O 0.123 0.247 0.250
O2 O 0.123 0.877 0.250
O3 O 0.170 0.340 0.073
O4 O 0.170 0.340 0.427
O5 O 0.170 0.830 0.073
O6 O 0.170 0.830 0.427
O7 O 0.247 0.123 0.750
O8 O 0.333 0.667 0.599
O9 O 0.333 0.667 0.901
O10 O 0.340 0.170 0.573
O11 O 0.340 0.170 0.927
O12 O 0.660 0.830 0.073
O13 O 0.660 0.830 0.427
O14 O 0.667 0.333 0.099
O15 O 0.667 0.333 0.401
O16 O 0.753 0.877 0.250
O17 O 0.830 0.170 0.573
O18 O 0.830 0.170 0.927
O19 O 0.830 0.660 0.573
O20 O 0.830 0.660 0.927
O21 O 0.877 0.123 0.750
O22 O 0.877 0.753 0.750
```

***

[5]
Diffraction record for MoWO6. The powder diffractogram is computed, not measured: it uses a DFT-relaxed cell (PBE+U, the Materials Project) and Cu Ka.
Peak positions follow from Bragg's law for the DFT cell and can differ from measured ones.

Peak list (10 most intense, 10 to 80 degrees two-theta, in order of falling intensity)
2θ = 22.62°, intensity 100
2θ = 23.54°, intensity 52
2θ = 32.88°, intensity 45
2θ = 25.54°, intensity 30
2θ = 32.20°, intensity 21
2θ = 53.52°, intensity 19
2θ = 53.83°, intensity 18
2θ = 34.38°, intensity 16
2θ = 11.71°, intensity 15
2θ = 47.81°, intensity 15

```
data_MoWO6
_chemical_formula_sum 'Mo2 W2 O12'
_space_group_name_H-M_alt 'P 1'
_space_group_IT_number 1
_cell_length_a 5.558
_cell_length_b 5.561
_cell_length_c 7.558
_cell_angle_alpha 90.00
_cell_angle_beta 90.03
_cell_angle_gamma 90.00
loop_
_space_group_symop_operation_xyz
'x,y,z'
loop_
_atom_site_label
_atom_site_type_symbol
_atom_site_fract_x
_atom_site_fract_y
_atom_site_fract_z
Mo1 Mo 0.000 0.000 0.000
Mo2 Mo 0.500 0.500 0.000
W1 W 0.125 0.000 0.500
W2 W 0.625 0.500 0.500
O1 O 0.076 0.000 0.246
O2 O 0.077 0.000 0.750
O3 O 0.298 0.255 0.998
O4 O 0.298 0.745 0.998
O5 O 0.347 0.247 0.498
O6 O 0.347 0.753 0.498
O7 O 0.576 0.500 0.246
O8 O 0.577 0.500 0.750
O9 O 0.798 0.245 0.998
O10 O 0.798 0.755 0.998
O11 O 0.847 0.253 0.498
O12 O 0.847 0.747 0.498
```

***

[6]
Diffraction record for Li2TiCr3O8. The powder diffractogram is computed, not measured: it uses a DFT-relaxed cell (PBE+U, the Materials Project) and Cu Ka.
Peak positions follow from Bragg's law for the DFT cell and can differ from measured ones.

Peak list (10 most intense, 10 to 80 degrees two-theta, in order of falling intensity)
2θ = 18.23°, intensity 100
2θ = 43.07°, intensity 79
2θ = 18.45°, intensity 38
2θ = 35.41°, intensity 30
2θ = 62.23°, intensity 24
2θ = 62.85°, intensity 23
2θ = 35.29°, intensity 19
2θ = 35.64°, intensity 15
2θ = 56.93°, intensity 12
2θ = 65.48°, intensity 10

```
data_Li2TiCr3O8
_chemical_formula_sum 'Li2 Ti1 Cr3 O8'
_space_group_name_H-M_alt 'P 1'
_space_group_IT_number 1
_cell_length_a 5.915
_cell_length_b 5.915
_cell_length_c 5.915
_cell_angle_alpha 60.59
_cell_angle_beta 60.59
_cell_angle_gamma 60.59
loop_
_space_group_symop_operation_xyz
'x,y,z'
loop_
_atom_site_label
_atom_site_type_symbol
_atom_site_fract_x
_atom_site_fract_y
_atom_site_fract_z
Li1 Li 0.125 0.125 0.125
Li2 Li 0.875 0.875 0.875
Ti1 Ti 0.500 0.500 0.500
Cr1 Cr 0.000 0.500 0.500
Cr2 Cr 0.500 0.000 0.500
Cr3 Cr 0.500 0.500 0.000
O1 O 0.263 0.263 0.263
O2 O 0.264 0.264 0.712
O3 O 0.264 0.712 0.264
O4 O 0.288 0.736 0.736
O5 O 0.712 0.264 0.264
O6 O 0.736 0.288 0.736
O7 O 0.736 0.736 0.288
O8 O 0.737 0.737 0.737
```